# 1
For ZrAl3Ga, a crystal structure in Alexandria, relaxed with PBE gives the theoretical powder diffractogram in this record (Cu Kα X-rays).

Cell and atoms:
Unit cell a=9.6043 b=5.6089 c=6.9976 alpha=90.00 beta=90.00 gamma=90.00
Fractional coordinates of all 20 atoms:
1 Zr 0.0680 0.2500 0.1616
2 Zr 0.4320 0.7500 0.6616
3 Zr 0.5680 0.2500 0.3384
4 Zr 0.9320 0.7500 0.8384
5 Al 0.0889 0.7500 0.1810
6 Al 0.2010 0.5009 0.8507
7 Al 0.2010 0.9991 0.8507
8 Al 0.2990 0.0009 0.3507
9 Al 0.2990 0.4991 0.3507
10 Al 0.4111 0.2500 0.6810
11 Al 0.5889 0.7500 0.3190
12 Al 0.7010 0.5009 0.6493
13 Al 0.7010 0.9991 0.6493
14 Al 0.7990 0.0009 0.1493
15 Al 0.7990 0.4991 0.1493
16 Al 0.9111 0.2500 0.8190
17 Ga 0.0000 0.0000 0.5000
18 Ga 0.0000 0.5000 0.5000
19 Ga 0.5000 0.0000 0.0000
20 Ga 0.5000 0.5000 0.0000

Main lines, in order of rising 2θ (10° ≤ 2θ ≤ 90°):
2θ 18.5, I = 638; 2θ 20.3, I = 299; 2θ 30.7, I = 265; 2θ 31.6, I = 315; 2θ 35.7, I = 657; 2θ 38.1, I = 339; 2θ 39.4, I = 408; 2θ 39.7, I = 1000; 2θ 44.9, I = 306; 2θ 45.6, I = 346

# 2
For Sc5SbTe4, a crystal structure in Alexandria, relaxed with PBE gives the theoretical powder diffractogram in this record (Cu Kα X-rays).

Cell and atoms:
Unit cell a=11.0336 b=11.0336 c=11.0336 alpha=158.22 beta=149.11 gamma=38.11
Fractional coordinates of all 10 atoms:
1 Sc 0.0000 0.0000 0.0000
2 Sc 0.2011 0.2011 0.0000
3 Sc 0.4038 0.4038 0.0000
4 Sc 0.5962 0.5962 0.0000
5 Sc 0.7989 0.7989 0.0000
6 Sb 0.5000 0.0000 0.5000
7 Te 0.1007 0.6007 0.5000
8 Te 0.3013 0.8013 0.5000
9 Te 0.6987 0.1987 0.5000
10 Te 0.8993 0.3993 0.5000

Main lines, in order of rising 2θ (10° ≤ 2θ ≤ 90°):
2θ 26.2, I = 568; 2θ 30.3, I = 920; 2θ 30.4, I = 457; 2θ 43.5, I = 1000; 2θ 51.4, I = 191; 2θ 53.9, I = 345; 2θ 71.6, I = 285; 2θ 71.8, I = 143; 2θ 79.7, I = 211; 2θ 79.9, I = 105